Diffraction record for DyMg9Cd2. The X-ray diffraction stick pattern is computed, not measured: it uses a structure optimized by DFT (PBE) and Cu Kα (weighted mean of Kα1 and Kα2).
Intensities are scaled so that the largest is 100.

Atomic structure:
```
DyMg9Cd2
1.0
-6.0437 6.0437 3.8455
6.0437 -6.0437 3.8455
6.0437 6.0437 -3.8455
Dy Mg Cd
2 18 4
Direct
0.3750 0.6250 0.7500
0.6250 0.3750 0.2500
0.1250 0.8750 0.2500
0.1260 0.5546 0.3290
0.1260 0.7970 0.5714
0.2030 0.2745 0.3290
0.2030 0.8740 0.9286
0.2745 0.2030 0.8290
0.2745 0.4454 0.0714
0.4454 0.2745 0.5714
0.4454 0.8740 0.1710
0.5546 0.1260 0.8290
0.5546 0.7255 0.4286
0.7255 0.5546 0.9286
0.7255 0.7970 0.1710
0.7970 0.1260 0.0714
0.7970 0.7255 0.6710
0.8740 0.2030 0.4286
0.8740 0.4454 0.6710
0.8750 0.1250 0.7500
0.0000 0.0000 0.0000
0.0000 0.0000 0.5000
0.0000 0.5000 0.0000
0.5000 0.0000 0.5000
```

The 10 most intense peaks (2θ from 10° to 90°), most intense first:
| two_theta | I (rel.) |
| --- | --- |
| 20.08 | 100 |
| 29.06 | 71 |
| 33.04 | 56 |
| 40.81 | 38 |
| 29.56 | 36 |
| 33.15 | 32 |
| 35.81 | 30 |
| 52.16 | 29 |
| 41.93 | 25 |
| 27.49 | 23 |

***

Diffraction record for Tb6Dy5Er2. The X-ray diffraction stick pattern is computed, not measured: it uses a structure optimized by DFT (PBE) and Cu Kα (weighted mean of Kα1 and Kα2).
Intensities are scaled so that the largest is 100.

Atomic structure:
```
Tb6Dy5Er2
1.0
11.5612 0.0000 0.0000
0.0000 20.1716 0.0000
0.0000 0.0000 3.5600
Tb Dy Er
12 10 4
Direct
0.0593 0.0808 0.0000
0.0827 0.3680 0.0000
0.1728 0.6359 0.5000
0.3272 0.1359 0.5000
0.4173 0.8680 0.0000
0.4407 0.5808 0.0000
0.5593 0.4192 0.0000
0.5827 0.1320 0.0000
0.6728 0.8641 0.5000
0.8272 0.3641 0.5000
0.9173 0.6320 0.0000
0.9407 0.9192 0.0000
0.0000 0.5000 0.5000
0.0898 0.2266 0.5000
0.1985 0.9483 0.5000
0.3015 0.4483 0.5000
0.4102 0.7266 0.5000
0.5000 0.0000 0.5000
0.5898 0.2734 0.5000
0.6985 0.5517 0.5000
0.8015 0.0517 0.5000
0.9102 0.7734 0.5000
0.1675 0.7900 0.0000
0.3325 0.2900 0.0000
0.6675 0.7100 0.0000
0.8325 0.2100 0.0000
```

The 10 most intense peaks (2θ from 10° to 90°), most intense first:
| two_theta | I (rel.) |
| --- | --- |
| 32.40 | 100 |
| 32.01 | 63 |
| 31.26 | 60 |
| 31.73 | 56 |
| 32.16 | 35 |
| 34.52 | 34 |
| 36.88 | 33 |
| 27.65 | 29 |
| 61.80 | 28 |
| 30.78 | 25 |